Computed powder XRD pattern of CoOsW2 for Cu Kα (weighted mean of Kα1 and Kα2), from a PBE-relaxed structure.
Intensities are scaled so that the largest is 100.

Largest 10 diffraction maxima, by angle, 2θ = 10–90°:
two_theta, I_rel, hkl
25.18, 9, 1 1 1
29.15, 5, 2 0 0
41.70, 100, 2 2 0
49.33, 5, 3 1 1
51.68, 2, 2 2 2
60.44, 17, 4 0 0
66.53, 2, 3 3 1
68.49, 2, 4 2 0
76.11, 34, 4 2 2
81.66, 2, 5 1 1

Cell and atoms:
```
data_CoOsW2
_cell_length_a 6.1266
_cell_length_b 6.1266
_cell_length_c 6.1266
_cell_angle_alpha 90.00
_cell_angle_beta 90.00
_cell_angle_gamma 90.00
_space_group_name_H-M_alt 'F -4 3 m'
_space_group_IT_number 216
_space_group_name_Hall 'F -4 2 3'
loop_
_atom_site_label
_atom_site_type_symbol
_atom_site_fract_x
_atom_site_fract_y
_atom_site_fract_z
Co1 Co 0.0000 0.0000 0.0000
Os1 Os 0.2500 0.2500 0.7500
W1 W 0.0000 0.0000 0.5000
W2 W 0.2500 0.2500 0.2500
```